Sc3AsH2: theoretical XRD peak list (Cu Kα X-rays), based on a DFT-relaxed cell (GGA-PBE, Alexandria).
Neutral-atom scattering factors, no anomalous dispersion.

Top 8 peaks for 2θ from 10° to 90°, low angle first:
d_spacing  two_theta  intensity
5.217  16.99  40
3.148  28.35  100
2.740  32.68  42
2.529  35.50  100
2.442  36.81  42
2.161  41.80  38
2.083  43.43  47
1.821  50.09  38

abc: 9.880 9.880 5.483
angles: 104.33 104.33 21.24
Element x y z (fractional)
Sc 0.047 0.047 0.283
Sc 0.229 0.229 0.221
Sc 0.400 0.400 0.156
Sc 0.600 0.600 0.844
Sc 0.771 0.771 0.779
Sc 0.953 0.953 0.717
As 0.350 0.350 0.598
As 0.650 0.650 0.402
H 0.058 0.058 0.914
H 0.292 0.292 0.987
H 0.708 0.708 0.013
H 0.942 0.942 0.086

Cs6Sc3I14: theoretical XRD peak list (Cu Kα X-rays), based on a DFT-relaxed cell (GGA-PBE, Alexandria).
Neutral-atom scattering factors, no anomalous dispersion.

Top 8 peaks for 2θ from 10° to 90°, low angle first:
d_spacing  two_theta  intensity
3.887  22.88  91
3.581  24.87  61
3.535  25.19  100
3.335  26.73  50
3.047  29.31  90
2.893  30.91  33
2.191  41.21  31
1.924  47.25  34

abc: 13.884 13.884 7.501
angles: 90.00 90.00 120.00
Element x y z (fractional)
Cs 0.027 0.568 0.000
Cs 0.309 0.102 0.492
Cs 0.432 0.458 0.000
Cs 0.542 0.973 0.000
Cs 0.794 0.691 0.492
Cs 0.898 0.206 0.492
Sc 0.000 0.000 0.917
Sc 0.333 0.667 0.426
Sc 0.667 0.333 0.756
I 0.000 0.000 0.287
I 0.075 0.861 0.793
I 0.139 0.214 0.793
I 0.192 0.453 0.301
I 0.261 0.808 0.301
I 0.333 0.667 0.796
I 0.465 0.201 0.975
I 0.536 0.404 0.535
I 0.547 0.739 0.301
I 0.596 0.132 0.535
I 0.736 0.535 0.975
I 0.786 0.925 0.793
I 0.799 0.264 0.975
I 0.868 0.464 0.535